(1)
Structure and theoretical powder X-ray diffraction pattern of Ba2H2PdS10O34 (a DFT-relaxed cell (PBE, the Materials Project); CuKα).
Lines closer than 0.1° are merged.

Crystal structure
Cell: 9.1447 9.4978 9.6329 Å, 119.29 96.68 92.00°
Fractional coordinates of all 49 atoms:
Ba 0.2373 0.2095 0.4132
Ba 0.7627 0.7905 0.5868
H 0.0763 0.4074 0.0667
H 0.9237 0.5926 0.9333
Pd 0.5000 0.5000 0.0000
S 0.1128 0.5754 0.3243
S 0.1426 0.1187 0.7710
S 0.2009 0.9066 0.9049
S 0.3662 0.7567 0.2927
S 0.4274 0.6709 0.7918
S 0.5726 0.3291 0.2082
S 0.6338 0.2433 0.7073
S 0.7991 0.0934 0.0951
S 0.8574 0.8813 0.2290
S 0.8872 0.4246 0.6757
O 0.0053 0.0156 0.6885
O 0.0086 0.6414 0.4334
O 0.0302 0.5023 0.1507
O 0.0833 0.7825 0.8036
O 0.1367 0.2556 0.9288
O 0.1825 0.0241 0.0661
O 0.2052 0.7396 0.3539
O 0.2125 0.4670 0.3372
O 0.2324 0.1499 0.6732
O 0.2581 0.9945 0.8140
O 0.3092 0.5430 0.6984
O 0.3365 0.6283 0.1184
O 0.3495 0.8329 0.9307
O 0.3662 0.9189 0.3175
O 0.4679 0.3497 0.0904
O 0.4795 0.7256 0.3881
O 0.4929 0.2648 0.2888
O 0.5071 0.7352 0.7112
O 0.5205 0.2744 0.6119
O 0.5321 0.6503 0.9096
O 0.6338 0.0811 0.6825
O 0.6505 0.1671 0.0693
O 0.6635 0.3717 0.8816
O 0.6908 0.4570 0.3016
O 0.7419 0.0055 0.1860
O 0.7676 0.8501 0.3268
O 0.7875 0.5330 0.6628
O 0.7948 0.2604 0.6461
O 0.8175 0.9759 0.9339
O 0.8633 0.7444 0.0712
O 0.9167 0.2175 0.1964
O 0.9698 0.4977 0.8493
O 0.9914 0.3586 0.5666
O 0.9947 0.9844 0.3115

Most intense lines, 2θ = 10–90°, low angle first:
| 2theta | Rel. int. |
| --- | --- |
| 13.8 | 59 |
| 18.7 | 48 |
| 22.0 | 81 |
| 22.2 | 81 |
| 22.3 | 100 |
| 23.4 | 83 |
| 24.1 | 84 |
| 25.0 | 56 |
| 28.9 | 48 |
| 30.5 | 82 |



(2)
Structure and theoretical powder X-ray diffraction pattern of Rb2Ba6Sb5HO (a DFT-relaxed cell (PBE, the Materials Project); CuKα).
Lines closer than 0.1° are merged.

Crystal structure
Cell: 15.6325 15.6325 15.6325 Å, 146.87 146.87 47.55°
Fractional coordinates of all 30 atoms:
Rb 0.1680 0.6680 0.8359
Rb 0.3320 0.1680 0.5000
Rb 0.6680 0.8320 0.5000
Rb 0.8320 0.3320 0.1641
Ba 0.0364 0.5364 0.1853
Ba 0.0928 0.0928 0.0000
Ba 0.1490 0.9636 0.5000
Ba 0.3510 0.8510 0.8147
Ba 0.4072 0.4072 0.0000
Ba 0.4636 0.6490 0.5000
Ba 0.5364 0.3510 0.5000
Ba 0.5928 0.5928 0.0000
Ba 0.6490 0.1490 0.1853
Ba 0.8510 0.0364 0.5000
Ba 0.9072 0.9072 0.0000
Ba 0.9636 0.4636 0.8147
Sb 0.0139 0.2808 0.5000
Sb 0.2192 0.4861 0.5000
Sb 0.2500 0.2500 0.0000
Sb 0.2808 0.7808 0.2669
Sb 0.4861 0.9861 0.2669
Sb 0.5139 0.0139 0.7331
Sb 0.7192 0.2192 0.7331
Sb 0.7500 0.7500 0.0000
Sb 0.7808 0.5139 0.5000
Sb 0.9861 0.7192 0.5000
H 0.0000 0.0000 0.0000
H 0.5000 0.5000 0.0000
O 0.2500 0.7500 0.5000
O 0.7500 0.2500 0.5000

Most intense lines, 2θ = 10–90°, low angle first:
| 2theta | Rel. int. |
| --- | --- |
| 27.3 | 100 |
| 27.4 | 27 |
| 28.3 | 9 |
| 31.3 | 19 |
| 31.7 | 42 |
| 39.7 | 11 |
| 45.2 | 17 |
| 53.2 | 13 |
| 56.0 | 8 |
| 58.0 | 11 |



(3)
Structure and theoretical powder X-ray diffraction pattern of BaRe2H2O9 (a DFT-relaxed cell (PBE, the Materials Project); CuKα).
Lines closer than 0.1° are merged.

Crystal structure
Cell: 7.4092 7.6383 15.7710 Å, 89.71 84.49 89.76°
Fractional coordinates of all 56 atoms:
Ba 0.2174 0.1866 0.1373
Ba 0.2211 0.8217 0.6367
Ba 0.7789 0.1783 0.3633
Ba 0.7826 0.8134 0.8627
Re 0.2373 0.6989 0.0096
Re 0.2399 0.3049 0.5127
Re 0.2828 0.8694 0.3543
Re 0.2981 0.1379 0.8522
Re 0.7019 0.8621 0.1478
Re 0.7172 0.1306 0.6457
Re 0.7601 0.6951 0.4873
Re 0.7627 0.3011 0.9904
H 0.0715 0.4919 0.2867
H 0.0784 0.5026 0.7763
H 0.4134 0.4524 0.2744
H 0.4227 0.5778 0.7924
H 0.5773 0.4222 0.2076
H 0.5866 0.5476 0.7256
H 0.9216 0.4974 0.2237
H 0.9285 0.5081 0.7133
O 0.0023 0.5844 0.7465
O 0.0827 0.6424 0.9367
O 0.0847 0.3345 0.4365
O 0.1352 0.8525 0.0814
O 0.1413 0.1690 0.5946
O 0.1604 0.0287 0.3015
O 0.1751 0.9709 0.8066
O 0.2169 0.8796 0.4635
O 0.2331 0.1486 0.9612
O 0.2473 0.6561 0.3173
O 0.2612 0.3433 0.8059
O 0.2953 0.5044 0.5581
O 0.3018 0.5148 0.0667
O 0.4283 0.7896 0.9517
O 0.4367 0.2107 0.4620
O 0.4683 0.9075 0.1616
O 0.4856 0.0840 0.6608
O 0.4898 0.3589 0.2470
O 0.5102 0.6411 0.7530
O 0.5144 0.9160 0.3392
O 0.5317 0.0925 0.8384
O 0.5633 0.7893 0.5380
O 0.5717 0.2104 0.0483
O 0.6982 0.4852 0.9333
O 0.7047 0.4956 0.4419
O 0.7388 0.6567 0.1941
O 0.7527 0.3439 0.6827
O 0.7669 0.8514 0.0388
O 0.7831 0.1204 0.5365
O 0.8249 0.0291 0.1934
O 0.8396 0.9713 0.6985
O 0.8587 0.8310 0.4054
O 0.8648 0.1475 0.9186
O 0.9153 0.6655 0.5635
O 0.9173 0.3576 0.0633
O 0.9977 0.4156 0.2535

Most intense lines, 2θ = 10–90°, low angle first:
| 2theta | Rel. int. |
| --- | --- |
| 11.3 | 24 |
| 23.0 | 49 |
| 23.1 | 50 |
| 24.1 | 66 |
| 24.7 | 100 |
| 25.5 | 28 |
| 26.6 | 28 |
| 26.7 | 34 |
| 27.1 | 24 |
| 43.8 | 27 |



What did the first record say?
Structure and theoretical powder X-ray diffraction pattern of Ba2H2PdS10O34 (a DFT-relaxed cell (PBE, the Materials Project); CuKα).
Lines closer than 0.1° are merged.

Crystal structure
Cell: 9.1447 9.4978 9.6329 Å, 119.29 96.68 92.00°
Fractional coordinates of all 49 atoms:
Ba 0.2373 0.2095 0.4132
Ba 0.7627 0.7905 0.5868
H 0.0763 0.4074 0.0667
H 0.9237 0.5926 0.9333
Pd 0.5000 0.5000 0.0000
S 0.1128 0.5754 0.3243
S 0.1426 0.1187 0.7710
S 0.2009 0.9066 0.9049
S 0.3662 0.7567 0.2927
S 0.4274 0.6709 0.7918
S 0.5726 0.3291 0.2082
S 0.6338 0.2433 0.7073
S 0.7991 0.0934 0.0951
S 0.8574 0.8813 0.2290
S 0.8872 0.4246 0.6757
O 0.0053 0.0156 0.6885
O 0.0086 0.6414 0.4334
O 0.0302 0.5023 0.1507
O 0.0833 0.7825 0.8036
O 0.1367 0.2556 0.9288
O 0.1825 0.0241 0.0661
O 0.2052 0.7396 0.3539
O 0.2125 0.4670 0.3372
O 0.2324 0.1499 0.6732
O 0.2581 0.9945 0.8140
O 0.3092 0.5430 0.6984
O 0.3365 0.6283 0.1184
O 0.3495 0.8329 0.9307
O 0.3662 0.9189 0.3175
O 0.4679 0.3497 0.0904
O 0.4795 0.7256 0.3881
O 0.4929 0.2648 0.2888
O 0.5071 0.7352 0.7112
O 0.5205 0.2744 0.6119
O 0.5321 0.6503 0.9096
O 0.6338 0.0811 0.6825
O 0.6505 0.1671 0.0693
O 0.6635 0.3717 0.8816
O 0.6908 0.4570 0.3016
O 0.7419 0.0055 0.1860
O 0.7676 0.8501 0.3268
O 0.7875 0.5330 0.6628
O 0.7948 0.2604 0.6461
O 0.8175 0.9759 0.9339
O 0.8633 0.7444 0.0712
O 0.9167 0.2175 0.1964
O 0.9698 0.4977 0.8493
O 0.9914 0.3586 0.5666
O 0.9947 0.9844 0.3115

Most intense lines, 2θ = 10–90°, low angle first:
| 2theta | Rel. int. |
| --- | --- |
| 13.8 | 59 |
| 18.7 | 48 |
| 22.0 | 81 |
| 22.2 | 81 |
| 22.3 | 100 |
| 23.4 | 83 |
| 24.1 | 84 |
| 25.0 | 56 |
| 28.9 | 48 |
| 30.5 | 82 |



Copy entry 3 word for word.
Structure and theoretical powder X-ray diffraction pattern of BaRe2H2O9 (a DFT-relaxed cell (PBE, the Materials Project); CuKα).
Lines closer than 0.1° are merged.

Crystal structure
Cell: 7.4092 7.6383 15.7710 Å, 89.71 84.49 89.76°
Fractional coordinates of all 56 atoms:
Ba 0.2174 0.1866 0.1373
Ba 0.2211 0.8217 0.6367
Ba 0.7789 0.1783 0.3633
Ba 0.7826 0.8134 0.8627
Re 0.2373 0.6989 0.0096
Re 0.2399 0.3049 0.5127
Re 0.2828 0.8694 0.3543
Re 0.2981 0.1379 0.8522
Re 0.7019 0.8621 0.1478
Re 0.7172 0.1306 0.6457
Re 0.7601 0.6951 0.4873
Re 0.7627 0.3011 0.9904
H 0.0715 0.4919 0.2867
H 0.0784 0.5026 0.7763
H 0.4134 0.4524 0.2744
H 0.4227 0.5778 0.7924
H 0.5773 0.4222 0.2076
H 0.5866 0.5476 0.7256
H 0.9216 0.4974 0.2237
H 0.9285 0.5081 0.7133
O 0.0023 0.5844 0.7465
O 0.0827 0.6424 0.9367
O 0.0847 0.3345 0.4365
O 0.1352 0.8525 0.0814
O 0.1413 0.1690 0.5946
O 0.1604 0.0287 0.3015
O 0.1751 0.9709 0.8066
O 0.2169 0.8796 0.4635
O 0.2331 0.1486 0.9612
O 0.2473 0.6561 0.3173
O 0.2612 0.3433 0.8059
O 0.2953 0.5044 0.5581
O 0.3018 0.5148 0.0667
O 0.4283 0.7896 0.9517
O 0.4367 0.2107 0.4620
O 0.4683 0.9075 0.1616
O 0.4856 0.0840 0.6608
O 0.4898 0.3589 0.2470
O 0.5102 0.6411 0.7530
O 0.5144 0.9160 0.3392
O 0.5317 0.0925 0.8384
O 0.5633 0.7893 0.5380
O 0.5717 0.2104 0.0483
O 0.6982 0.4852 0.9333
O 0.7047 0.4956 0.4419
O 0.7388 0.6567 0.1941
O 0.7527 0.3439 0.6827
O 0.7669 0.8514 0.0388
O 0.7831 0.1204 0.5365
O 0.8249 0.0291 0.1934
O 0.8396 0.9713 0.6985
O 0.8587 0.8310 0.4054
O 0.8648 0.1475 0.9186
O 0.9153 0.6655 0.5635
O 0.9173 0.3576 0.0633
O 0.9977 0.4156 0.2535

Most intense lines, 2θ = 10–90°, low angle first:
| 2theta | Rel. int. |
| --- | --- |
| 11.3 | 24 |
| 23.0 | 49 |
| 23.1 | 50 |
| 24.1 | 66 |
| 24.7 | 100 |
| 25.5 | 28 |
| 26.6 | 28 |
| 26.7 | 34 |
| 27.1 | 24 |
| 43.8 | 27 |